Starting from a crystal structure in OQMD, relaxed with GGA-PBE, the powder diffraction line list of Cs2HoHgF6 was computed for Cu Kα, 1.54184 Å.

Structural model:
```
Cs2HoHgF6
1.0
0.000 4.599 4.599
4.599 0.000 4.599
4.599 4.599 0.000
Cs Ho Hg F
2 1 1 6
Direct
0.250 0.250 0.250
0.750 0.750 0.750
0.000 0.000 0.000
0.500 0.500 0.500
0.231 0.231 0.769
0.231 0.769 0.231
0.231 0.769 0.769
0.769 0.231 0.231
0.769 0.231 0.769
0.769 0.769 0.231
```

Principal peaks in the range 2θ = 10–90°, by intensity:
2θ 27.4, I 100
2θ 48.5, I 42
2θ 39.2, I 31
2θ 77.7, I 23
2θ 56.6, I 20
2θ 64.0, I 19
2θ 19.3, I 7
2θ 71.0, I 7
2θ 44.0, I 3
2θ 84.2, I 3



Starting from a crystal structure in OQMD, relaxed with GGA-PBE, the powder diffraction line list of Cs2LiHgF6 was computed for Cu Kα, 1.54184 Å.

Structural model:
```
Cs2LiHgF6
1.0
5.238 -3.030 0.000
5.238 3.030 0.000
-3.460 0.000 4.935
Cs Li Hg F
2 1 1 6
Direct
0.250 0.250 0.250
0.750 0.750 0.750
0.000 0.000 0.500
0.500 0.500 0.000
0.240 0.240 0.740
0.241 0.759 0.259
0.241 0.759 0.741
0.759 0.241 0.259
0.759 0.241 0.741
0.760 0.760 0.260
```

Principal peaks in the range 2θ = 10–90°, by intensity:
2θ 29.5, I 100
2θ 18.0, I 50
2θ 52.3, I 29
2θ 42.3, I 28
2θ 34.7, I 23
2θ 61.2, I 22
2θ 29.6, I 20
2θ 42.1, I 14
2θ 52.5, I 12
2θ 84.6, I 11



Starting from a crystal structure in OQMD, relaxed with GGA-PBE, the powder diffraction line list of Cs2LiHgF6 was computed for Cu Kα, 1.54184 Å.

Structural model:
```
Cs2LiHgF6
1.0
-3.027 3.027 4.288
3.027 -3.027 4.288
3.027 3.027 -4.288
Cs Li Hg F
2 1 1 6
Direct
0.250 0.750 0.500
0.750 0.250 0.500
0.000 0.000 0.000
0.500 0.500 0.000
0.240 0.242 0.482
0.241 0.241 0.000
0.242 0.760 0.002
0.758 0.240 0.998
0.759 0.759 0.000
0.760 0.758 0.518
```

Principal peaks in the range 2θ = 10–90°, by intensity:
2θ 29.5, I 100
2θ 17.9, I 42
2θ 52.3, I 41
2θ 42.2, I 35
2θ 34.7, I 28
2θ 61.2, I 22
2θ 84.6, I 15
2θ 46.2, I 14
2θ 69.4, I 12
2θ 55.8, I 9



Starting from a crystal structure in OQMD, relaxed with GGA-PBE, the powder diffraction line list of Cs3HoSi4O10F2 was computed for Cu Kα, 1.54184 Å.

Structural model:
```
Cs3HoSi4O10F2
1.0
7.016 0.000 0.000
-3.500 6.120 0.000
-0.023 -1.899 15.934
Cs Ho Si O F
6 2 8 20 4
Direct
0.125 0.264 0.181
0.155 0.316 0.449
0.185 0.357 0.919
0.815 0.643 0.081
0.845 0.684 0.551
0.875 0.736 0.819
0.500 0.000 0.000
0.500 0.000 0.500
0.078 0.797 0.324
0.287 0.668 0.674
0.382 0.299 0.665
0.447 0.900 0.212
0.553 0.100 0.788
0.618 0.701 0.335
0.713 0.332 0.326
0.922 0.203 0.676
0.035 0.474 0.692
0.123 0.147 0.688
0.206 0.898 0.413
0.219 0.896 0.242
0.296 0.747 0.584
0.345 0.854 0.755
0.427 0.242 0.572
0.439 0.834 0.114
0.448 0.561 0.685
0.465 0.719 0.263
0.535 0.281 0.737
0.552 0.439 0.315
0.561 0.166 0.886
0.573 0.758 0.428
0.655 0.146 0.245
0.704 0.253 0.416
0.781 0.104 0.758
0.794 0.102 0.587
0.877 0.853 0.312
0.965 0.526 0.308
0.158 0.763 0.956
0.393 0.229 0.053
0.607 0.771 0.947
0.842 0.237 0.044
```

Principal peaks in the range 2θ = 10–90°, by intensity:
2θ 25.4, I 100
2θ 26.0, I 82
2θ 28.2, I 29
2θ 28.8, I 28
2θ 38.3, I 26
2θ 44.7, I 21
2θ 52.1, I 18
2θ 11.1, I 17
2θ 32.2, I 14
2θ 30.5, I 13



Starting from a crystal structure in OQMD, relaxed with GGA-PBE, the powder diffraction line list of Cs2HoTlF6 was computed for Cu Kα, 1.54184 Å.

Structural model:
```
Cs2HoTlF6
1.0
-3.224 3.224 4.785
3.224 -3.224 4.785
3.224 3.224 -4.785
Cs Ho Tl F
2 1 1 6
Direct
0.250 0.750 0.500
0.750 0.250 0.500
0.000 0.000 0.000
0.500 0.500 0.000
0.155 0.707 0.862
0.225 0.225 0.000
0.293 0.155 0.448
0.707 0.845 0.552
0.775 0.775 0.000
0.845 0.293 0.138
```

Principal peaks in the range 2θ = 10–90°, by intensity:
2θ 27.0, I 100
2θ 27.7, I 54
2θ 48.5, I 47
2θ 39.5, I 26
2θ 47.3, I 25
2θ 55.7, I 19
2θ 37.6, I 17
2θ 77.3, I 14
2θ 75.7, I 13
2θ 64.7, I 12



Starting from a crystal structure in OQMD, relaxed with GGA-PBE, the powder diffraction line list of CsZrIO3F4 was computed for Cu Kα, 1.54184 Å.

Structural model:
```
CsZrIO3F4
1.0
-3.722 5.518 3.912
3.722 -5.518 3.912
3.722 5.518 -3.912
Cs Zr I O F
2 2 2 6 8
Direct
0.142 0.250 0.392
0.858 0.750 0.608
0.506 0.006 0.500
0.506 0.506 0.000
0.544 0.020 0.024
0.996 0.520 0.976
0.151 0.737 0.914
0.559 0.131 0.305
0.559 0.754 0.929
0.822 0.237 0.086
0.825 0.254 0.695
0.825 0.631 0.071
0.196 0.285 0.810
0.196 0.885 0.411
0.331 0.638 0.194
0.444 0.138 0.806
0.474 0.385 0.190
0.474 0.785 0.589
0.543 0.369 0.674
0.694 0.869 0.326
```

Principal peaks in the range 2θ = 10–90°, by intensity:
2θ 27.0, I 100
2θ 27.7, I 49
2θ 47.1, I 45
2θ 26.8, I 42
2θ 28.9, I 32
2θ 23.1, I 31
2θ 44.0, I 28
2θ 28.0, I 27
2θ 42.5, I 20
2θ 55.6, I 15



Starting from a crystal structure in OQMD, relaxed with GGA-PBE, the powder diffraction line list of Cs2PdIF3 was computed for Cu Kα, 1.54184 Å.

Structural model:
```
Cs2PdIF3
1.0
4.058 0.000 0.000
0.000 5.154 4.092
0.000 -5.154 4.092
Cs Pd I F
2 1 1 3
Direct
0.000 0.201 0.799
0.000 0.799 0.201
0.500 0.702 0.702
0.500 0.387 0.387
0.500 0.522 0.908
0.500 0.908 0.522
0.500 0.955 0.955
```

Principal peaks in the range 2θ = 10–90°, by intensity:
2θ 28.0, I 100
2θ 31.0, I 51
2θ 28.2, I 49
2θ 26.0, I 48
2θ 27.8, I 34
2θ 48.1, I 33
2θ 34.0, I 29
2θ 50.9, I 29
2θ 35.7, I 23
2θ 44.7, I 22



Starting from a crystal structure in OQMD, relaxed with GGA-PBE, the powder diffraction line list of Cs2PdI3F was computed for Cu Kα, 1.54184 Å.

Structural model:
```
Cs2PdI3F
1.0
4.643 0.000 0.000
0.000 4.914 6.065
0.000 -4.914 6.065
Cs Pd I F
2 1 3 1
Direct
0.000 0.198 0.802
0.000 0.802 0.198
0.500 0.759 0.759
0.500 0.028 0.489
0.500 0.489 0.028
0.500 0.546 0.546
0.500 0.933 0.933
```

Principal peaks in the range 2θ = 10–90°, by intensity:
2θ 24.1, I 100
2θ 30.3, I 96
2θ 29.5, I 56
2θ 22.4, I 46
2θ 28.2, I 41
2θ 38.8, I 33
2θ 11.6, I 33
2θ 49.4, I 26
2θ 34.3, I 24
2θ 35.3, I 24



Starting from a crystal structure in OQMD, relaxed with GGA-PBE, the powder diffraction line list of CsIrO2F3 was computed for Cu Kα, 1.54184 Å.

Structural model:
```
CsIrO2F3
1.0
-2.710 3.144 6.707
2.710 -3.144 6.707
2.710 3.144 -6.707
Cs Ir O F
2 2 4 6
Direct
0.391 0.141 0.250
0.609 0.859 0.750
0.119 0.369 0.750
0.881 0.631 0.250
0.199 0.188 0.490
0.199 0.709 0.010
0.801 0.291 0.990
0.801 0.812 0.510
0.000 0.000 0.500
0.000 0.500 0.000
0.201 0.643 0.558
0.416 0.357 0.058
0.584 0.643 0.942
0.799 0.357 0.442
```

Principal peaks in the range 2θ = 10–90°, by intensity:
2θ 25.4, I 100
2θ 28.4, I 25
2θ 26.6, I 25
2θ 48.5, I 23
2θ 42.9, I 19
2θ 46.2, I 18
2θ 52.3, I 15
2θ 33.1, I 13
2θ 54.6, I 13
2θ 39.3, I 11



Starting from a crystal structure in OQMD, relaxed with GGA-PBE, the powder diffraction line list of CsK2PtF5 was computed for Cu Kα, 1.54184 Å.

Structural model:
```
CsK2PtF5
1.0
7.107 0.000 0.000
0.000 7.107 0.000
0.000 0.000 6.144
Cs K Pt F
2 4 2 10
Direct
0.000 0.000 0.000
0.500 0.500 0.000
0.172 0.328 0.500
0.328 0.828 0.500
0.672 0.172 0.500
0.828 0.672 0.500
0.000 0.500 0.000
0.500 0.000 0.000
0.000 0.000 0.500
0.137 0.637 0.232
0.137 0.637 0.768
0.363 0.137 0.232
0.363 0.137 0.768
0.500 0.500 0.500
0.637 0.863 0.232
0.637 0.863 0.768
0.863 0.363 0.232
0.863 0.363 0.768
```

Principal peaks in the range 2θ = 10–90°, by intensity:
2θ 29.0, I 100
2θ 38.7, I 53
2θ 14.4, I 43
2θ 25.1, I 39
2θ 60.2, I 26
2θ 35.7, I 26
2θ 46.7, I 24
2θ 51.5, I 21
2θ 66.2, I 21
2θ 58.1, I 20



Starting from a crystal structure in OQMD, relaxed with GGA-PBE, the powder diffraction line list of CsKZnF4 was computed for Cu Kα, 1.54184 Å.

Structural model:
```
CsKZnF4
1.0
-2.052 2.052 6.836
2.052 -2.052 6.836
2.052 2.052 -6.836
Cs K Zn F
1 1 1 4
Direct
0.000 0.000 0.000
0.294 0.294 0.000
0.653 0.653 0.000
0.160 0.660 0.500
0.504 0.504 0.000
0.660 0.160 0.500
0.800 0.800 0.000
```

Principal peaks in the range 2θ = 10–90°, by intensity:
2θ 29.3, I 100
2θ 30.8, I 67
2θ 44.1, I 41
2θ 39.6, I 36
2θ 53.8, I 36
2θ 13.0, I 36
2θ 60.8, I 31
2θ 22.6, I 27
2θ 40.8, I 23
2θ 51.0, I 22



Starting from a crystal structure in OQMD, relaxed with GGA-PBE, the powder diffraction line list of Cs2LiPd3F12 was computed for Cu Kα, 1.54184 Å.

Structural model:
```
Cs2LiPd3F12
1.0
3.757 2.169 5.628
-3.757 2.169 5.628
0.000 -4.338 5.628
Cs Li Pd F
2 1 3 12
Direct
0.129 0.129 0.129
0.871 0.871 0.871
0.500 0.500 0.500
0.000 0.500 0.500
0.500 0.000 0.500
0.500 0.500 0.000
0.170 0.170 0.572
0.170 0.572 0.170
0.178 0.578 0.578
0.422 0.422 0.822
0.422 0.822 0.422
0.428 0.830 0.830
0.572 0.170 0.170
0.578 0.178 0.578
0.578 0.578 0.178
0.822 0.422 0.422
0.830 0.428 0.830
0.830 0.830 0.428
```

Principal peaks in the range 2θ = 10–90°, by intensity:
2θ 27.9, I 100
2θ 28.6, I 75
2θ 48.5, I 51
2θ 25.1, I 46
2θ 51.6, I 36
2θ 29.4, I 34
2θ 29.8, I 28
2θ 44.8, I 25
2θ 46.9, I 20
2θ 42.5, I 18



Copy entry 11 word for word.
Starting from a crystal structure in OQMD, relaxed with GGA-PBE, the powder diffraction line list of CsKZnF4 was computed for Cu Kα, 1.54184 Å.

Structural model:
```
CsKZnF4
1.0
-2.052 2.052 6.836
2.052 -2.052 6.836
2.052 2.052 -6.836
Cs K Zn F
1 1 1 4
Direct
0.000 0.000 0.000
0.294 0.294 0.000
0.653 0.653 0.000
0.160 0.660 0.500
0.504 0.504 0.000
0.660 0.160 0.500
0.800 0.800 0.000
```

Principal peaks in the range 2θ = 10–90°, by intensity:
2θ 29.3, I 100
2θ 30.8, I 67
2θ 44.1, I 41
2θ 39.6, I 36
2θ 53.8, I 36
2θ 13.0, I 36
2θ 60.8, I 31
2θ 22.6, I 27
2θ 40.8, I 23
2θ 51.0, I 22